No. 1
# CaCe8Se12
Computed powder diffractogram, a wavelength of 1.5418 Å. Input: a cell relaxed with GGA-PBE.
No peak broadening, texture or thermal motion is included.

a = 12.6413 Å, b = 12.6414 Å, c = 14.7943 Å
α = 90.00°, β = 115.29°, γ = 90.00°
Space group Cc (No. 9)
One atom of each set of equivalent atoms:
Ca: 0.0000 0.0625 0.0000 x4
Ce: 0.0412 0.1867 0.3336 x4
Ce: 0.0626 0.1247 0.7500 x4
Ce: 0.1668 0.4375 0.8338 x4
Ce: 0.2076 0.3126 0.1660 x4
Ce: 0.2302 0.3759 0.5834 x4
Ce: 0.3323 0.0618 0.6665 x4
Ce: 0.3752 0.1872 0.0001 x4
Ce: 0.3963 0.1260 0.4166 x4
Se: 0.0039 0.4251 0.3834 x4
Se: 0.0456 0.5003 0.1164 x4
Se: 0.0884 0.1773 0.5507 x4
Se: 0.1130 0.2487 0.9500 x4
Se: 0.1696 0.0756 0.2160 x4
Se: 0.2144 0.0006 0.4497 x4
Se: 0.2519 0.3240 0.3824 x4
Se: 0.2797 0.2501 0.7836 x4
Se: 0.3385 0.4244 0.0497 x4
Se: 0.3787 0.4992 0.2836 x4
Se: 0.4207 0.1747 0.2169 x4
Se: 0.4453 0.2481 0.6178 x4

Top 12 peaks for 5° ≤ 2θ ≤ 70°, most intense first:
2θ/deg, Rel. int., (hkl)
31.68, 100, 3 3 0
37.68, 67, 4 2 -5
45.41, 22, 2 2 -7
24.41, 21, 2 0 2
64.25, 19, 7 5 -2
52.22, 17, 1 7 1
47.76, 15, 6 0 0
50.03, 12, 4 0 4
64.37, 10, 2 0 -10
68.00, 9, 1 9 1
66.12, 7, 4 8 -2
68.07, 5, 5 3 -10

---

No. 2
# CaCe2Te4
Computed powder diffractogram, a wavelength of 1.5418 Å. Input: a cell relaxed with GGA-PBE.
No peak broadening, texture or thermal motion is included.

a = 9.5503 Å, b = 9.5503 Å, c = 9.6585 Å
α = 90.00°, β = 90.00°, γ = 90.00°
Space group I-42d (No. 122)
One atom of each set of equivalent atoms:
Ca: 0.0000 0.0000 0.0000 x4
Ce: 0.1267 0.7500 0.6250 x8
Te: 0.0748 0.6773 0.9472 x16

Top 12 peaks for 5° ≤ 2θ ≤ 70°, most intense first:
2θ/deg, Rel. int., (hkl)
29.56, 100, 3 1 0
35.10, 56, 3 2 1
34.90, 48, 2 1 3
29.27, 42, 1 0 3
46.50, 17, 4 2 2
59.57, 15, 5 3 2
42.26, 13, 4 0 2
59.66, 11, 6 1 1
48.26, 11, 3 1 4
44.28, 11, 3 2 3
61.35, 11, 6 0 2
22.64, 11, 1 1 2

---

No. 3
# CsCaCl3
Computed powder diffractogram, a wavelength of 1.5418 Å. Input: a cell relaxed with GGA-PBE.
No peak broadening, texture or thermal motion is included.

a = 5.4619 Å, b = 5.4620 Å, c = 5.4645 Å
α = 90.03°, β = 90.03°, γ = 90.02°
Space group P1 (No. 1)
One atom of each set of equivalent atoms:
Cs: 0.0000 0.0000 0.0000 x1
Ca: 0.5012 0.5050 0.5019 x1
Cl: 0.0010 0.5086 0.4958 x1
Cl: 0.4981 0.5062 0.0014 x1
Cl: 0.5030 0.0056 0.5031 x1

Top 12 peaks for 5° ≤ 2θ ≤ 70°, most intense first:
2θ/deg, Rel. int., (hkl)
23.02, 100, 1 1 0
32.79, 86, 2 0 0
28.30, 85, 1 1 1
47.05, 58, 2 2 0
40.45, 46, 1 -2 1
55.82, 33, 3 1 1
63.74, 24, 1 3 -2
53.01, 21, 3 1 0
58.53, 19, 2 2 2
16.23, 13, 0 1 0
68.73, 9, 4 0 0
36.79, 9, 0 2 -1

---

No. 4
# CsCaCl3
Computed powder diffractogram, a wavelength of 1.5418 Å. Input: a cell relaxed with GGA-PBE.
No peak broadening, texture or thermal motion is included.

a = 5.4686 Å, b = 5.4686 Å, c = 5.4686 Å
α = 90.00°, β = 90.00°, γ = 90.00°
Space group Pm-3m (No. 221)
One atom of each set of equivalent atoms:
Cs: 0.0000 0.0000 0.0000 x1
Ca: 0.5000 0.5000 0.5000 x1
Cl: 0.0000 0.5000 0.5000 x3

Top 12 peaks for 5° ≤ 2θ ≤ 70°, most intense first:
2θ/deg, Rel. int., (hkl)
23.00, 100, 1 1 0
32.75, 87, 2 0 0
28.27, 85, 1 1 1
47.00, 58, 2 2 0
40.40, 46, 2 1 1
55.75, 33, 3 1 1
63.67, 24, 3 2 1
52.95, 21, 3 1 0
58.46, 19, 2 2 2
16.21, 13, 1 0 0
68.65, 9, 4 0 0
36.75, 9, 2 1 0

---

No. 5
# Cs2CaCl4
Computed powder diffractogram, a wavelength of 1.5418 Å. Input: a cell relaxed with GGA-PBE.
No peak broadening, texture or thermal motion is included.

a = 5.4352 Å, b = 5.4352 Å, c = 17.5067 Å
α = 90.00°, β = 90.00°, γ = 90.00°
Space group I4/mmm (No. 139)
One atom of each set of equivalent atoms:
Cs: 0.0000 0.0000 0.1442 x4
Ca: 0.0000 0.0000 0.5000 x2
Cl: 0.0000 0.0000 0.3435 x4
Cl: 0.0000 0.5000 0.0000 x4

Top 12 peaks for 5° ≤ 2θ ≤ 70°, most intense first:
2θ/deg, Rel. int., (hkl)
30.97, 100, 1 1 4
23.14, 100, 1 1 0
22.35, 100, 1 0 3
32.96, 87, 2 0 0
40.19, 44, 2 1 3
45.62, 41, 2 0 6
30.64, 34, 0 0 6
57.62, 31, 3 1 4
47.30, 29, 2 2 0
25.31, 26, 1 1 2
38.75, 24, 1 1 6
17.08, 23, 1 0 1

---

No. 6
# CsCaCl3
Computed powder diffractogram, a wavelength of 1.5418 Å. Input: a cell relaxed with GGA-PBE.
No peak broadening, texture or thermal motion is included.

a = 7.6969 Å, b = 7.6969 Å, c = 11.0053 Å
α = 90.00°, β = 90.00°, γ = 90.00°
Space group I4/mcm (No. 140)
One atom of each set of equivalent atoms:
Cs: 0.0000 0.5000 0.2500 x4
Ca: 0.0000 0.0000 0.0000 x4
Cl: 0.0000 0.0000 0.2500 x4
Cl: 0.2173 0.2827 0.0000 x8

Top 12 peaks for 5° ≤ 2θ ≤ 70°, most intense first:
2θ/deg, Rel. int., (hkl)
28.30, 100, 2 0 2
22.98, 80, 1 1 2
32.91, 66, 2 2 0
23.11, 46, 2 0 0
46.96, 45, 2 2 4
40.53, 43, 3 1 2
32.54, 37, 0 0 4
40.30, 21, 2 0 4
55.98, 21, 4 2 2
58.54, 21, 4 0 4
47.24, 20, 4 0 0
53.20, 18, 4 2 0

---

No. 7
# Cs3Ca2Cl7
Computed powder diffractogram, a wavelength of 1.5418 Å. Input: a cell relaxed with GGA-PBE.
No peak broadening, texture or thermal motion is included.

a = 5.4520 Å, b = 5.4520 Å, c = 28.3979 Å
α = 90.00°, β = 90.00°, γ = 90.00°
Space group I4/mmm (No. 139)
One atom of each set of equivalent atoms:
Cs: 0.0000 0.0000 0.0000 x2
Cs: 0.0000 0.0000 0.1838 x4
Ca: 0.0000 0.0000 0.4030 x4
Cl: 0.0000 0.0000 0.3076 x4
Cl: 0.0000 0.0000 0.5000 x2
Cl: 0.0000 0.5000 0.0958 x8

Top 12 peaks for 5° ≤ 2θ ≤ 70°, most intense first:
2θ/deg, Rel. int., (hkl)
22.61, 100, 1 0 5
29.89, 100, 1 1 6
32.85, 96, 2 0 0
23.07, 83, 1 1 0
40.25, 45, 2 1 5
46.16, 43, 2 0 10
31.50, 34, 0 0 10
47.15, 34, 2 2 0
56.83, 29, 3 1 6
57.79, 29, 2 2 10
26.31, 24, 1 1 4
18.76, 21, 0 0 6

---

No. 8
# CsCaTa6Cl18
Computed powder diffractogram, a wavelength of 1.5418 Å. Input: a cell relaxed with GGA-PBE.
No peak broadening, texture or thermal motion is included.

a = 9.4296 Å, b = 9.4296 Å, c = 17.5814 Å
α = 90.00°, β = 90.00°, γ = 120.00°
Space group P-31c (No. 163)
One atom of each set of equivalent atoms:
Cs: 0.3333 0.6667 0.2500 x2
Ca: 0.3333 0.6667 0.7500 x2
Ta: 0.0379 0.1959 0.9317 x12
Cl: 0.0437 0.2296 0.1590 x12
Cl: 0.0782 0.4371 0.8433 x12
Cl: 0.1402 0.4134 0.5000 x12

Top 12 peaks for 5° ≤ 2θ ≤ 70°, most intense first:
2θ/deg, Rel. int., (hkl)
10.83, 100, 1 0 0
14.81, 59, 1 0 2
35.54, 37, 2 1 4
10.06, 34, 0 0 2
42.57, 26, 2 1 6
43.57, 15, 2 2 4
28.93, 13, 2 1 0
21.39, 12, 2 -1 2
32.79, 11, 2 1 3
39.58, 11, 4 -2 2
51.00, 11, 3 -1 8
45.03, 9, 4 -1 4

---

No. 9
# CaSmCuClO3
Computed powder diffractogram, a wavelength of 1.5418 Å. Input: a cell relaxed with GGA-PBE.
No peak broadening, texture or thermal motion is included.

a = 3.9216 Å, b = 3.9216 Å, c = 13.5713 Å
α = 90.00°, β = 90.00°, γ = 90.00°
Space group P4/nmm (No. 129, origin choice 2)
One atom of each set of equivalent atoms:
Ca: 0.2500 0.2500 0.1610 x2
Sm: 0.2500 0.2500 0.4110 x2
Cu: 0.2500 0.2500 0.7228 x2
Cl: 0.2500 0.2500 0.9260 x2
O: 0.2500 0.7500 0.2745 x4
O: 0.2500 0.7500 0.5000 x2

Top 12 peaks for 5° ≤ 2θ ≤ 70°, most intense first:
2θ/deg, Rel. int., (hkl)
6.51, 100, 0 0 1
34.97, 44, 1 0 4
30.16, 39, 1 0 3
32.28, 31, 1 1 0
46.31, 23, 2 0 0
59.32, 21, 2 1 4
26.25, 19, 1 0 2
56.26, 14, 2 1 3
46.83, 12, 0 0 7
52.19, 8, 1 1 6
67.57, 7, 2 2 0
42.08, 7, 1 1 4

---

No. 10
# Ca4Sm2Cu3Cl4O8
Computed powder diffractogram, a wavelength of 1.5418 Å. Input: a cell relaxed with GGA-PBE.
No peak broadening, texture or thermal motion is included.

a = 3.9038 Å, b = 3.9038 Å, c = 43.0442 Å
α = 90.00°, β = 90.00°, γ = 90.00°
Space group I4/mmm (No. 139)
One atom of each set of equivalent atoms:
Ca: 0.0000 0.0000 0.0368 x4
Ca: 0.0000 0.0000 0.3562 x4
Sm: 0.0000 0.0000 0.2781 x4
Cu: 0.0000 0.0000 0.1799 x4
Cu: 0.0000 0.0000 0.5000 x2
Cl: 0.0000 0.0000 0.1153 x4
Cl: 0.0000 0.0000 0.4355 x4
O: 0.0000 0.5000 0.0000 x4
O: 0.0000 0.5000 0.1790 x8
O: 0.0000 0.5000 0.2500 x4

Top 12 peaks for 5° ≤ 2θ ≤ 70°, most intense first:
2θ/deg, Rel. int., (hkl)
32.42, 100, 1 1 0
35.55, 81, 1 0 13
8.22, 78, 0 0 4
29.54, 44, 1 0 9
46.53, 42, 2 0 0
59.89, 33, 2 1 13
27.06, 19, 1 0 7
57.81, 19, 2 1 11
25.05, 15, 1 0 5
56.08, 15, 2 1 9
67.91, 12, 2 2 0
46.37, 11, 0 0 22

---

No. 11
# Ca2CuS2Cl2
Computed powder diffractogram, a wavelength of 1.5418 Å. Input: a cell relaxed with GGA-PBE.
No peak broadening, texture or thermal motion is included.

a = 5.5998 Å, b = 5.5998 Å, c = 5.3096 Å
α = 90.00°, β = 90.00°, γ = 90.00°
Space group P4/mmm (No. 123)
One atom of each set of equivalent atoms:
Ca: 0.0000 0.5000 0.0000 x2
Cu: 0.0000 0.0000 0.5000 x1
S: 0.0000 0.0000 0.0000 x1
S: 0.5000 0.5000 0.0000 x1
Cl: 0.0000 0.5000 0.5000 x2

Top 12 peaks for 5° ≤ 2θ ≤ 70°, most intense first:
2θ/deg, Rel. int., (hkl)
31.96, 100, 2 0 0
47.18, 60, 2 0 2
33.76, 43, 0 0 2
45.83, 33, 2 2 0
15.83, 31, 1 0 0
58.12, 30, 2 2 2
23.08, 26, 1 0 1
39.80, 12, 2 1 1
66.83, 10, 4 0 0
35.86, 8, 2 1 0
37.49, 7, 1 0 2
50.07, 6, 2 1 2